Rb2Mo3O10: theoretical powder X-ray diffraction pattern (CuKα), based on a PBE+U-relaxed structure.
Kinematic intensities with the Lorentz-polarization factor, no thermal factor.

Structural model:
```
Rb2Mo3O10
1.0
7.3056 -4.2153 0.0000
7.3056 4.2153 0.0000
-1.3161 0.0000 9.2386
Rb Mo O
4 6 20
Cartesian
2.4267 0.7504 1.4742 Rb
1.7686 -0.7504 6.0936 Rb
11.5264 0.7504 3.1451 Rb
10.8683 -0.7504 7.7644 Rb
6.9766 2.3893 2.3097 Mo
5.1348 0.6273 4.4349 Mo
4.4768 -0.6273 9.0542 Mo
8.8183 0.6273 0.1844 Mo
8.1602 -0.6273 4.8037 Mo
6.3185 -2.3893 6.9290 Mo
6.3858 3.4801 1.0812 O
7.5673 3.4801 3.5382 O
5.1632 1.9078 2.9713 O
4.5205 1.6120 5.7321 O
3.1796 0.4352 8.5299 O
3.8377 -0.4352 3.9106 O
8.7899 1.9078 1.6480 O
6.8293 0.6771 0.8607 O
7.1239 0.6771 3.7586 O
8.1165 1.6120 8.1258 O
5.1785 -1.6120 1.1128 O
6.1712 -0.6771 5.4800 O
6.4658 -0.6771 8.3780 O
4.5051 -1.9078 7.5906 O
9.4573 0.4352 5.3281 O
10.1154 -0.4352 0.7088 O
8.7746 -1.6120 3.5065 O
8.1319 -1.9078 6.2674 O
5.7277 -3.4801 5.7005 O
6.9092 -3.4801 8.1575 O
```

Principal peaks in the range 10° ≤ 2θ ≤ 80°, low angle first:
2θ/deg, I/Imax
12.2, 44.7
16.0, 39.9
23.5, 72.7
24.4, 92.5
25.6, 100.0
29.1, 52.2
32.7, 32.0
44.7, 42.0